This entry pairs a crystal structure of CsNa3Ag2Sb2 with its theoretical X-ray diffraction stick pattern. Radiation: Cu Kα (λ = 1.5418 Å). Structure: a PBE-relaxed structure.
Peak positions follow from Bragg's law for the DFT cell and can differ from measured ones.

Cell: 6.111 5.867 7.228 Å, 90.00 105.83 90.00°
Space group Pm (No. 6)
Unique sites:
Cs 0.000 0.000 0.000
Na 0.273 0.500 0.345
Na 0.628 0.000 0.339
Na 0.926 0.500 0.608
Ag 0.439 0.256 0.829
Sb 0.196 0.000 0.530
Sb 0.675 0.500 0.144

Main lines, low angle first (10° ≤ 2θ ≤ 90°):
12.73 deg, I = 56, (0 0 1)
16.88 deg, I = 100, (1 0 -1)
21.40 deg, I = 83, (1 1 0)
29.59 deg, I = 63, (2 0 -1)
29.87 deg, I = 39, (0 1 2)
30.17 deg, I = 59, (1 1 -2)
33.35 deg, I = 88, (1 0 2)
34.15 deg, I = 67, (2 0 -2)
38.09 deg, I = 65, (1 2 1)
40.22 deg, I = 45, (0 2 2)

***

This entry pairs a crystal structure of Na4ZnCdPt2 with its theoretical X-ray diffraction stick pattern. Radiation: Cu Kα (λ = 1.5418 Å). Structure: a PBE-relaxed structure.
Peak positions follow from Bragg's law for the DFT cell and can differ from measured ones.

Cell: 4.718 4.718 6.807 Å, 90.00 90.00 90.00°
Space group P-4m2 (No. 115)
Unique sites:
Na 0.000 0.000 0.000
Na 0.000 0.500 0.737
Na 0.500 0.500 0.500
Zn 0.000 0.000 0.500
Cd 0.500 0.500 0.000
Pt 0.000 0.500 0.265

Main lines, low angle first (10° ≤ 2θ ≤ 90°):
22.94 deg, I = 100, (1 0 1)
26.72 deg, I = 10, (1 1 0)
37.76 deg, I = 95, (1 1 2)
38.15 deg, I = 47, (2 0 0)
44.30 deg, I = 17, (1 0 3)
44.98 deg, I = 35, (2 1 1)
55.06 deg, I = 16, (2 2 0)
59.86 deg, I = 14, (2 1 3)
67.92 deg, I = 15, (2 0 4)
68.70 deg, I = 32, (3 1 2)

***

This entry pairs a crystal structure of Al4Co11 with its theoretical X-ray diffraction stick pattern. Radiation: Cu Kα (λ = 1.5418 Å). Structure: a PBE-relaxed structure.
Peak positions follow from Bragg's law for the DFT cell and can differ from measured ones.

Cell: 8.692 8.692 4.583 Å, 90.00 90.00 90.00°
Space group P4_2/mnm (No. 136)
Unique sites:
Al 0.041 0.358 0.000
Co 0.000 0.000 0.500
Co 0.069 0.259 0.500
Co 0.093 0.093 0.000
Co 0.179 0.821 0.249

Main lines, low angle first (10° ≤ 2θ ≤ 90°):
14.41 deg, I = 53, (1 1 0)
42.90 deg, I = 100, (4 1 0)
44.21 deg, I = 34, (3 3 0)
44.71 deg, I = 30, (2 0 2)
45.98 deg, I = 91, (2 1 2)
47.47 deg, I = 71, (4 1 1)
48.68 deg, I = 52, (3 3 1)
51.95 deg, I = 20, (3 1 2)
77.10 deg, I = 15, (4 1 3)
78.03 deg, I = 28, (6 0 2)